This entry pairs a crystal structure of Np2TeO11 with its theoretical XRD peak list. Radiation: CuKα. Structure: a structure optimized by DFT (GGA-PBE).

Largest 8 diffraction maxima, in order of rising 2θ, 2θ = 5–70°:
index, 2θ/deg, I/Imax
-1 1 1, 17.29, 55
1 -1 1, 17.52, 53
0 0 2, 21.97, 100
0 2 -1, 23.99, 67
2 0 -1, 24.27, 67
2 -2 0, 27.21, 50
0 2 -3, 33.15, 38
0 2 -5, 52.00, 26

Structure:
Cell lengths 7.884, 7.977, 9.160 Å; angles 104.89, 105.66, 111.52 degrees
Space group P1 (No. 1)
Unique sites:
1 Np 0.000 0.000 0.000
2 Np 0.201 0.722 0.500
3 Np 0.524 0.563 0.007
4 Np 0.765 0.274 0.523
5 Te 0.258 0.271 0.516
6 Te 0.996 0.504 0.010
7 O 0.031 0.745 0.980
8 O 0.093 0.644 0.250
9 O 0.124 0.093 0.227
10 O 0.150 0.939 0.528
11 O 0.273 0.577 0.037
12 O 0.281 0.496 0.465
13 O 0.306 0.253 0.018
14 O 0.326 0.093 0.991
15 O 0.326 0.798 0.723
16 O 0.368 0.434 0.773
17 O 0.506 0.985 0.524
18 O 0.586 0.379 0.561
19 O 0.614 0.143 0.301
20 O 0.636 0.928 0.499
21 O 0.654 0.668 0.228
22 O 0.713 0.809 0.994
23 O 0.723 0.450 0.980
24 O 0.905 0.930 0.781
25 O 0.912 0.370 0.769
26 O 0.939 0.529 0.497
27 O 0.953 0.259 0.031
28 O 0.989 0.208 0.498

This entry pairs a crystal structure of Np3TeO3 with its theoretical XRD peak list. Radiation: CuKα. Structure: a structure optimized by DFT (GGA-PBE).

Largest 8 diffraction maxima, in order of rising 2θ, 2θ = 5–70°:
index, 2θ/deg, I/Imax
1 1 1, 29.24, 100
1 0 -3, 30.21, 44
3 0 -1, 30.91, 28
3 0 0, 33.03, 21
2 1 -2, 34.05, 46
0 2 0, 47.15, 20
0 1 4, 49.83, 24
4 1 1, 55.51, 18

Structure:
Cell lengths 8.682, 3.855, 8.875 Å; angles 90.00, 110.45, 90.00 degrees
Space group P2_1/m (No. 11)
Unique sites:
1 Np 0.052 0.250 0.194
2 Np 0.293 0.750 0.566
3 Np 0.331 0.250 0.939
4 Te 0.398 0.750 0.246
5 O 0.072 0.250 0.927
6 O 0.172 0.250 0.463
7 O 0.213 0.750 0.784

This entry pairs a crystal structure of Np4Ti6O19 with its theoretical XRD peak list. Radiation: CuKα. Structure: a structure optimized by DFT (GGA-PBE).

Largest 8 diffraction maxima, in order of rising 2θ, 2θ = 5–70°:
index, 2θ/deg, I/Imax
1 1 0, 13.93, 19
2 1 1, 24.25, 100
3 0 1, 31.47, 46
2 2 2, 34.57, 29
3 1 2, 37.43, 16
3 3 0, 42.67, 40
4 3 1, 51.86, 22
5 2 1, 56.03, 35

Structure:
Cell lengths 8.989, 8.989, 8.989 Å; angles 90.00, 90.00, 90.00 degrees
Space group I23 (No. 197)
Unique sites:
1 Np 0.149 0.149 0.149
2 Ti 0.000 0.161 0.500
3 O 0.000 0.000 0.000
4 O 0.000 0.000 0.346
5 O 0.048 0.286 0.325

This entry pairs a crystal structure of Np3Tl5O12 with its theoretical XRD peak list. Radiation: CuKα. Structure: a structure optimized by DFT (GGA-PBE).

Largest 8 diffraction maxima, in order of rising 2θ, 2θ = 5–70°:
index, 2θ/deg, I/Imax
1 1 0, 15.71, 17
2 1 0, 24.10, 20
3 0 0, 27.38, 100
1 1 1, 30.04, 94
2 1 1, 35.32, 20
2 2 1, 41.09, 35
4 1 1, 50.09, 43
3 0 2, 59.99, 24

Structure:
Cell lengths 11.2821, 11.2821, 3.5016 Å; angles 90.00, 90.00, 120.00 degrees
Space group P-62m (No. 189)
Unique sites:
1 Np 0.0000 0.6614 0.0000
2 Tl 0.0000 0.2836 0.5000
3 Tl 0.3333 0.6667 0.5000
4 O 0.0000 0.5470 0.5000
5 O 0.0000 0.7762 0.5000
6 O 0.1948 0.7626 0.0000

This entry pairs a crystal structure of Np3TlO9 with its theoretical XRD peak list. Radiation: CuKα. Structure: a structure optimized by DFT (GGA-PBE).

Largest 8 diffraction maxima, in order of rising 2θ, 2θ = 5–70°:
index, 2θ/deg, I/Imax
0 0 1, 21.41, 19
1 0 1, 25.00, 47
2 0 0, 25.67, 100
1 1 1, 31.02, 28
2 0 1, 33.67, 20
2 1 1, 40.69, 19
2 2 0, 45.26, 26
2 0 2, 51.30, 31

Structure:
Cell lengths 8.0138, 8.0138, 4.1505 Å; angles 90.00, 90.00, 120.00 degrees
Space group P6/mmm (No. 191)
Unique sites:
1 Np 0.0000 0.5000 0.0000
2 Tl 0.0000 0.0000 0.5000
3 O 0.0000 0.5000 0.5000
4 O 0.2066 0.4131 0.0000

This entry pairs a crystal structure of Np2TlO7 with its theoretical XRD peak list. Radiation: CuKα. Structure: a structure optimized by DFT (GGA-PBE).

Largest 8 diffraction maxima, in order of rising 2θ, 2θ = 5–70°:
index, 2θ/deg, I/Imax
1 3 0, 25.50, 100
0 2 1, 25.64, 40
1 1 1, 26.50, 73
2 0 0, 28.03, 39
2 2 1, 38.35, 23
3 3 0, 48.09, 22
1 3 2, 50.97, 32
2 6 0, 52.41, 29

Structure:
Cell lengths 6.366, 12.533, 4.175 Å; angles 90.00, 90.00, 90.00 degrees
Space group Cmmm (No. 65)
Unique sites:
1 Np 0.000 0.167 0.000
2 Tl 0.000 0.500 0.500
3 O 0.000 0.000 0.000
4 O 0.000 0.170 0.500
5 O 0.204 0.347 0.000

This entry pairs a crystal structure of Np3Tl2O9 with its theoretical XRD peak list. Radiation: CuKα. Structure: a structure optimized by DFT (GGA-PBE).

Largest 8 diffraction maxima, in order of rising 2θ, 2θ = 5–70°:
index, 2θ/deg, I/Imax
3 1 -1, 26.52, 97
1 1 3, 26.72, 100
2 0 -4, 28.29, 43
0 2 0, 30.26, 27
4 0 2, 33.75, 19
2 2 -4, 41.90, 20
1 1 -7, 49.25, 21
3 3 0, 51.51, 16

Structure:
Cell lengths 12.415, 5.908, 13.639 Å; angles 90.00, 98.24, 90.00 degrees
Space group C2/c (No. 15)
Unique sites:
1 Np 0.031 0.187 0.407
2 Np 0.250 0.250 0.000
3 Tl 0.182 0.296 0.702
4 O 0.000 0.187 0.250
5 O 0.047 0.138 0.562
6 O 0.116 0.325 0.095
7 O 0.168 0.018 0.401
8 O 0.175 0.478 0.916

This entry pairs a crystal structure of Np2Tl3O9 with its theoretical XRD peak list. Radiation: CuKα. Structure: a structure optimized by DFT (GGA-PBE).

Largest 8 diffraction maxima, in order of rising 2θ, 2θ = 5–70°:
index, 2θ/deg, I/Imax
1 0 0, 16.33, 22
1 0 1, 17.15, 41
1 0 2, 19.42, 27
1 1 0, 28.48, 100
0 1 5, 31.11, 76
2 0 5, 42.68, 36
3 0 0, 50.43, 22
1 2 5, 52.10, 43

Structure:
Cell lengths 6.2689, 6.2689, 16.9457 Å; angles 90.00, 90.00, 120.00 degrees
Space group P-3m1 (No. 164)
Unique sites:
1 Np 0.3333 0.6667 0.1592
2 Np 0.3333 0.6667 0.3408
3 Tl 0.0000 0.0000 0.2505
4 Tl 0.3333 0.6667 0.5564
5 Tl 0.3333 0.6667 0.9436
6 O 0.0586 0.5293 0.2500
7 O 0.1881 0.3763 0.0947
8 O 0.1881 0.3761 0.4053